Theoretical powder diffraction line list of TlAu2 for a wavelength of 1.5418 Å, from the PBE geometry in Alexandria.
Intensities are scaled so that the largest is 100.

Structure:
Cell lengths 5.7220, 5.7220, 5.7220 Å; angles 60.00, 60.00, 60.00 degrees
Fractional positions:
Tl  0.1250  0.1250  0.1250
Tl  0.8750  0.8750  0.8750
Au  0.0000  0.5000  0.5000
Au  0.5000  0.0000  0.5000
Au  0.5000  0.5000  0.0000
Au  0.5000  0.5000  0.5000

Largest 6 diffraction maxima, in order of rising 2θ, 10° ≤ 2θ ≤ 90°:
2θ (°), d_spacing, I (rel.)
31.3, 2.861, 27
36.8, 2.440, 100
38.5, 2.336, 40
59.3, 1.557, 34
65.2, 1.430, 30
78.4, 1.220, 16

***

Theoretical powder diffraction line list of TlAu8 for a wavelength of 1.5418 Å, from the PBE geometry in Alexandria.
Intensities are scaled so that the largest is 100.

Structure:
Cell lengths 6.6551, 6.6551, 6.6551 Å; angles 95.91, 95.91, 142.55 degrees
Fractional positions:
Tl  0.0000  0.0000  0.0000
Au  0.0000  0.3368  0.3368
Au  0.0000  0.6632  0.6632
Au  0.3296  0.3296  0.6592
Au  0.3296  0.6704  0.0000
Au  0.3368  0.0000  0.3368
Au  0.6632  0.0000  0.6632
Au  0.6704  0.3296  0.0000
Au  0.6704  0.6704  0.3408

Largest 6 diffraction maxima, in order of rising 2θ, 10° ≤ 2θ ≤ 90°:
2θ (°), d_spacing, I (rel.)
36.8, 2.439, 100
42.3, 2.136, 17
43.1, 2.101, 32
61.9, 1.498, 22
73.8, 1.284, 14
74.8, 1.269, 26

***

Theoretical powder diffraction line list of TlAu for a wavelength of 1.5418 Å, from the PBE geometry in Alexandria.
Intensities are scaled so that the largest is 100.

Structure:
Cell lengths 6.1612, 6.1612, 6.1612 Å; angles 148.14, 128.03, 62.26 degrees
Fractional positions:
Tl  0.3542  0.1042  0.2500
Tl  0.6458  0.8958  0.7500
Au  0.1078  0.3578  0.7500
Au  0.8922  0.6422  0.2500

Largest 6 diffraction maxima, in order of rising 2θ, 10° ≤ 2θ ≤ 90°:
2θ (°), d_spacing, I (rel.)
33.2, 2.699, 32
34.0, 2.637, 24
35.7, 2.518, 100
48.2, 1.886, 18
60.9, 1.521, 22
61.9, 1.499, 12

***

Theoretical powder diffraction line list of TlAu for a wavelength of 1.5418 Å, from the PBE geometry in Alexandria.
Intensities are scaled so that the largest is 100.

Structure:
Cell lengths 5.1413, 5.1413, 5.1413 Å; angles 60.00, 60.00, 60.00 degrees
Fractional positions:
Tl  0.1250  0.1250  0.1250
Tl  0.8750  0.8750  0.8750
Au  0.3750  0.3750  0.3750
Au  0.6250  0.6250  0.6250

Largest 5 diffraction maxima, in order of rising 2θ, 10° ≤ 2θ ≤ 90°:
2θ (°), d_spacing, I (rel.)
34.9, 2.571, 100
50.2, 1.818, 18
62.6, 1.484, 38
73.7, 1.285, 12
84.2, 1.150, 17

***

Theoretical powder diffraction line list of Tl2Au3 for a wavelength of 1.5418 Å, from the PBE geometry in Alexandria.
Intensities are scaled so that the largest is 100.

Structure:
Cell lengths 7.1709, 7.1709, 7.1709 Å; angles 59.62, 59.62, 59.62 degrees
Fractional positions:
Tl  0.0970  0.0970  0.0970
Tl  0.4030  0.4030  0.4030
Tl  0.5970  0.5970  0.5970
Tl  0.9030  0.9030  0.9030
Au  0.0225  0.2500  0.4775
Au  0.2500  0.4775  0.0225
Au  0.4775  0.0225  0.2500
Au  0.5225  0.9775  0.7500
Au  0.7500  0.5225  0.9775
Au  0.9775  0.7500  0.5225

Largest 6 diffraction maxima, in order of rising 2θ, 10° ≤ 2θ ≤ 90°:
2θ (°), d_spacing, I (rel.)
29.3, 3.047, 85
30.4, 2.936, 100
35.5, 2.528, 54
38.9, 2.313, 66
40.0, 2.256, 48
43.9, 2.061, 100

***

Theoretical powder diffraction line list of Tl17Au12 for a wavelength of 1.5418 Å, from the PBE geometry in Alexandria.
Intensities are scaled so that the largest is 100.

Structure:
Cell lengths 9.7913, 9.7913, 9.7913 Å; angles 109.47, 109.47, 109.47 degrees
Fractional positions:
Tl  0.0000  0.0000  0.0000
Tl  0.0000  0.0000  0.3289
Tl  0.0000  0.3076  0.5873
Tl  0.0000  0.3289  0.0000
Tl  0.0000  0.5873  0.3076
Tl  0.2797  0.6924  0.6924
Tl  0.3076  0.0000  0.5873
Tl  0.3076  0.5873  0.0000
Tl  0.3289  0.0000  0.0000
Tl  0.4127  0.4127  0.7203
Tl  0.4127  0.7203  0.4127
Tl  0.5873  0.0000  0.3076
Tl  0.5873  0.3076  0.0000
Tl  0.6711  0.6711  0.6711
Tl  0.6924  0.2797  0.6924
Tl  0.6924  0.6924  0.2797
Tl  0.7203  0.4127  0.4127
Au  0.0000  0.6289  0.8164
Au  0.0000  0.8164  0.6289
Au  0.1836  0.1836  0.8125
Au  0.1836  0.8125  0.1836
Au  0.1875  0.3711  0.3711
Au  0.3711  0.1875  0.3711
Au  0.3711  0.3711  0.1875
Au  0.6289  0.0000  0.8164
Au  0.6289  0.8164  0.0000
Au  0.8125  0.1836  0.1836
Au  0.8164  0.0000  0.6289
Au  0.8164  0.6289  0.0000

Largest 6 diffraction maxima, in order of rising 2θ, 10° ≤ 2θ ≤ 90°:
2θ (°), d_spacing, I (rel.)
31.7, 2.827, 14
33.6, 2.665, 100
37.3, 2.410, 36
39.0, 2.308, 13
40.7, 2.217, 20
60.1, 1.539, 27

***

Theoretical powder diffraction line list of TlAu6 for a wavelength of 1.5418 Å, from the PBE geometry in Alexandria.
Intensities are scaled so that the largest is 100.

Structure:
Cell lengths 9.4118, 5.7901, 10.6000 Å; angles 90.00, 90.00, 90.00 degrees
Fractional positions:
Tl  0.2249  0.2500  0.0583
Tl  0.2751  0.7500  0.5583
Tl  0.7249  0.2500  0.4417
Tl  0.7751  0.7500  0.9417
Au  0.0532  0.0043  0.3023
Au  0.0532  0.4957  0.3023
Au  0.0693  0.7500  0.0669
Au  0.1277  0.2500  0.5246
Au  0.1742  0.7500  0.8192
Au  0.1884  0.2500  0.7859
Au  0.3116  0.7500  0.2859
Au  0.3258  0.2500  0.3192
Au  0.3723  0.7500  0.0246
Au  0.4307  0.2500  0.5669
Au  0.4468  0.5043  0.8023
Au  0.4468  0.9957  0.8023
Au  0.5532  0.0043  0.1977
Au  0.5532  0.4957  0.1977
Au  0.5693  0.7500  0.4331
Au  0.6277  0.2500  0.9754
Au  0.6742  0.7500  0.6808
Au  0.6884  0.2500  0.7141
Au  0.8116  0.7500  0.2141
Au  0.8258  0.2500  0.1808
Au  0.8723  0.7500  0.4754
Au  0.9307  0.2500  0.9331
Au  0.9468  0.5043  0.6977
Au  0.9468  0.9957  0.6977

Largest 6 diffraction maxima, in order of rising 2θ, 10° ≤ 2θ ≤ 90°:
2θ (°), d_spacing, I (rel.)
33.6, 2.669, 80
35.2, 2.551, 100
35.3, 2.540, 77
36.4, 2.466, 57
39.2, 2.297, 68
41.4, 2.179, 60

***

Theoretical powder diffraction line list of TlAu11 for a wavelength of 1.5418 Å, from the PBE geometry in Alexandria.
Intensities are scaled so that the largest is 100.

Structure:
Cell lengths 9.4963, 9.4963, 2.9364 Å; angles 90.00, 90.00, 120.00 degrees
Fractional positions:
Tl  0.0000  0.0000  0.0000
Au  0.0000  0.5000  0.0000
Au  0.1768  0.3535  0.5000
Au  0.1768  0.8232  0.5000
Au  0.3333  0.6667  0.0000
Au  0.3535  0.1768  0.5000
Au  0.5000  0.0000  0.0000
Au  0.5000  0.5000  0.0000
Au  0.6465  0.8232  0.5000
Au  0.6667  0.3333  0.0000
Au  0.8232  0.1768  0.5000
Au  0.8232  0.6465  0.5000

Largest 6 diffraction maxima, in order of rising 2θ, 10° ≤ 2θ ≤ 90°:
2θ (°), d_spacing, I (rel.)
36.0, 2.497, 26
37.6, 2.390, 53
37.9, 2.374, 100
42.3, 2.135, 17
68.3, 1.374, 17
76.3, 1.249, 27